1.
# SrLa6OsI12
Calculated PXRD pattern, Cu Ka. Input: DFT lattice parameters and positions (PBE).

The 10 most intense peaks (2θ from 10° to 90°), by angle:
d [Å]  two_theta  I_rel  index
8.169  10.8  23.4  1 1 0
3.718  23.9  16.5  1 3 1
3.253  27.4  100.0  4 -1 2
2.337  38.5  36.9  1 3 4
2.266  39.8  35.6  5 2 0
1.859  49.0  18.2  2 6 2
1.627  56.6  11.3  8 -2 4
1.473  63.1  16.0  5 2 6
1.437  64.9  14.9  9 1 2
1.321  71.4  10.3  6 5 4

abc: 16.3380 16.3380 11.6332
angles: 90.00 90.00 120.00
Space group R-3 (No. 148, hexagonal axes)
Symmetry-distinct sites (fractional):
Sr 0.0000 0.0000 0.0000 x3
La 0.0414 0.8808 0.3590 x18
Os 0.0000 0.0000 0.5000 x3
I 0.0199 0.4340 0.1578 x18
I 0.0470 0.8695 0.8266 x18

2.
# La8TcP3I4
Calculated PXRD pattern, Cu Ka. Input: DFT lattice parameters and positions (PBE).

The 10 most intense peaks (2θ from 10° to 90°), by angle:
d [Å]  two_theta  I_rel  index
3.692  24.1  10.5  0 2 1
3.159  28.3  100.0  0 2 4
2.932  30.5  26.5  2 0 5
2.626  34.1  12.3  0 0 9
2.318  38.9  25.6  2 0 8
2.158  41.9  39.5  2 2 0
1.782  51.3  18.6  4 0 4
1.667  55.1  18.5  2 2 9
1.635  56.3  11.7  0 2 13
1.374  68.3  15.6  2 4 4

abc: 8.6323 8.6323 23.6381
angles: 90.00 90.00 120.00
Space group R-3m (No. 166, hexagonal axes)
Symmetry-distinct sites (fractional):
La 0.0000 0.0000 0.2313 x6
La 0.0092 0.5046 0.2298 x18
Tc 0.0000 0.0000 0.5000 x3
P 0.0000 0.5000 0.5000 x9
I 0.0000 0.0000 0.0000 x3
I 0.0000 0.5000 0.0000 x9

3.
# La4TlPI2
Calculated PXRD pattern, Cu Ka. Input: DFT lattice parameters and positions (PBE).

The 10 most intense peaks (2θ from 10° to 90°), by angle:
d [Å]  two_theta  I_rel  index
3.253  27.4  50.4  2 0 -2
3.211  27.8  100.0  1 1 1
2.533  35.4  11.1  3 0 0
2.399  37.5  17.8  2 0 2
2.314  38.9  33.8  1 1 -3
2.257  39.9  36.3  3 1 -1
2.160  41.8  18.5  0 2 0
1.800  50.7  18.8  2 2 -2
1.606  57.4  13.6  2 2 2
1.380  67.9  10.7  1 3 1

abc: 7.9450 4.3206 8.2315
angles: 90.00 107.19 90.00
Space group P2/m (No. 10)
Symmetry-distinct sites (fractional):
La 0.2126 0.0000 0.2016 x2
La 0.2329 0.5000 0.7817 x2
Tl 0.5000 0.0000 0.0000 x1
P 0.0000 0.5000 0.0000 x1
I 0.0000 0.0000 0.5000 x1
I 0.5000 0.5000 0.5000 x1

What did the first record say?
# SrLa6OsI12
Calculated PXRD pattern, Cu Ka. Input: DFT lattice parameters and positions (PBE).

The 10 most intense peaks (2θ from 10° to 90°), by angle:
d [Å]  two_theta  I_rel  index
8.169  10.8  23.4  1 1 0
3.718  23.9  16.5  1 3 1
3.253  27.4  100.0  4 -1 2
2.337  38.5  36.9  1 3 4
2.266  39.8  35.6  5 2 0
1.859  49.0  18.2  2 6 2
1.627  56.6  11.3  8 -2 4
1.473  63.1  16.0  5 2 6
1.437  64.9  14.9  9 1 2
1.321  71.4  10.3  6 5 4

abc: 16.3380 16.3380 11.6332
angles: 90.00 90.00 120.00
Space group R-3 (No. 148, hexagonal axes)
Symmetry-distinct sites (fractional):
Sr 0.0000 0.0000 0.0000 x3
La 0.0414 0.8808 0.3590 x18
Os 0.0000 0.0000 0.5000 x3
I 0.0199 0.4340 0.1578 x18
I 0.0470 0.8695 0.8266 x18